Diffraction record for TbMo. The powder X-ray diffraction pattern is simulated, not measured: it uses a PBE-relaxed structure and Cu Kα (weighted mean of Kα1 and Kα2).
Intensities are scaled so that the largest is 1000.

Structural model:
Lattice parameters (Å, degrees): 3.089 3.089 5.167 90.00 90.00 120.00
Fractional coordinates of all 2 atoms:
Tb 0.000 0.000 0.000
Mo 0.333 0.667 0.500

Main lines, by angle (2θ = 10–90°):
Position (°2θ)	d_spacing	Rel. int.	(hkl)
17.16	5.167	79	0 0 1
33.49	2.675	266	1 0 0
34.72	2.583	277	0 0 2
37.87	2.376	1000	1 0 1
49.02	1.858	183	1 0 2
59.88	1.545	169	1 1 0
64.33	1.448	208	1 0 3
71.11	1.326	203	1 1 2
73.07	1.295	144	2 0 1
80.93	1.188	42	2 0 2